Computed XRD peak list
Compound: PmBe2ZnAu4
Radiation: a wavelength of 1.5418 Å
Structure: the PBE geometry in Alexandria

Atomic structure:
```
PmBe2ZnAu4
1.0
2.1130 1.2199 9.1446
-2.1130 1.2199 9.1446
0.0000 -2.4399 9.1446
Pm Be Zn Au
1 2 1 4
direct
0.0000 0.0000 0.0000
0.2410 0.2410 0.2410
0.7590 0.7590 0.7590
0.5000 0.5000 0.5000
0.1265 0.1265 0.1265
0.4014 0.4014 0.4014
0.5986 0.5986 0.5986
0.8735 0.8735 0.8735
```

Main lines, in order of rising 2θ (2θ = 10–80°):
2θ (°)	d_spacing	I_rel
25.18	3.536	41
27.63	3.229	68
33.50	2.675	49
35.89	2.502	80
41.12	2.195	34
42.80	2.113	100
43.94	2.061	32
67.76	1.383	31